Entry 1:
For Tm2ZrCo2, a crystal structure in Alexandria, relaxed with PBE gives the simulated powder X-ray diffraction pattern in this record (Cu Kα).

Cell and atoms:
```
data_Tm2ZrCo2
_symmetry_space_group_name_H-M 'C 1 2/c 1'
_symmetry_Int_Tables_number 15
_symmetry_space_group_name_Hall '-C 2yc'
_cell_length_a 9.9728
_cell_length_b 5.7573
_cell_length_c 7.1445
_cell_angle_alpha 90.00
_cell_angle_beta 101.49
_cell_angle_gamma 90.00
loop_
_atom_site_label
_atom_site_fract_x
_atom_site_fract_y
_atom_site_fract_z
_atom_site_occupancy
Tm1 0.1502 0.1181 0.1490 1
Zr1 0.0000 0.4042 0.7500 1
Co1 0.1501 0.3439 0.5017 1
```

Largest 10 diffraction maxima, low angle first, 2θ from 5° to 70°:
hkl 1 1 -2, 29.71°, 3.007 Å, I = 36.3
hkl 3 1 0, 31.56°, 2.835 Å, I = 56.2
hkl 3 1 -1, 31.94°, 2.802 Å, I = 49.4
hkl 1 1 2, 32.77°, 2.733 Å, I = 32.5
hkl 0 2 1, 33.66°, 2.662 Å, I = 99.8
hkl 2 0 2, 34.36°, 2.610 Å, I = 61.5
hkl 2 2 -1, 37.20°, 2.417 Å, I = 100.0
hkl 2 2 1, 39.76°, 2.267 Å, I = 44.3
hkl 1 1 -3, 41.04°, 2.199 Å, I = 55.7
hkl 6 2 -1, 64.79°, 1.439 Å, I = 44.1

***

Entry 2:
For Ce2AgSn, a crystal structure in Alexandria, relaxed with PBE gives the simulated powder X-ray diffraction pattern in this record (Cu Kα).

Cell and atoms:
```
data_Ce2AgSn
_symmetry_space_group_name_H-M 'I m m a'
_symmetry_Int_Tables_number 74
_symmetry_space_group_name_Hall '-I 2b 2'
_cell_length_a 6.3899
_cell_length_b 8.8308
_cell_length_c 7.3726
_cell_angle_alpha 90.00
_cell_angle_beta 90.00
_cell_angle_gamma 90.00
loop_
_atom_site_label
_atom_site_fract_x
_atom_site_fract_y
_atom_site_fract_z
_atom_site_occupancy
Ce1 0.2500 0.0298 0.2500 1
Ag1 0.0000 0.2500 0.5465 1
Sn1 0.0000 0.2500 0.9583 1
```

Largest 10 diffraction maxima, low angle first, 2θ from 5° to 70°:
hkl 0 2 2, 31.62°, 2.830 Å, I = 100.0
hkl 0 3 1, 32.76°, 2.734 Å, I = 19.5
hkl 2 2 0, 34.66°, 2.588 Å, I = 90.7
hkl 2 0 2, 37.24°, 2.414 Å, I = 69.8
hkl 0 1 3, 38.01°, 2.368 Å, I = 14.6
hkl 0 4 0, 40.88°, 2.208 Å, I = 22.6
hkl 2 4 2, 56.48°, 1.629 Å, I = 29.5
hkl 2 3 3, 56.66°, 1.624 Å, I = 18.5
hkl 2 2 4, 61.79°, 1.501 Å, I = 18.5
hkl 4 2 2, 67.31°, 1.391 Å, I = 22.5

***

Entry 3:
For KCaMg14, a crystal structure in Alexandria, relaxed with PBE gives the simulated powder X-ray diffraction pattern in this record (Cu Kα).

Cell and atoms:
```
data_KCaMg14
_symmetry_space_group_name_H-M 'P -6 m 2'
_symmetry_Int_Tables_number 187
_symmetry_space_group_name_Hall 'P -6 2'
_cell_length_a 6.6781
_cell_length_b 6.6781
_cell_length_c 10.6875
_cell_angle_alpha 90.00
_cell_angle_beta 90.00
_cell_angle_gamma 120.00
loop_
_atom_site_label
_atom_site_fract_x
_atom_site_fract_y
_atom_site_fract_z
_atom_site_occupancy
K1 0.0000 0.0000 0.0000 1
Ca1 0.0000 0.0000 0.5000 1
Mg1 0.0037 0.5018 0.5000 1
Mg2 0.0059 0.5030 0.0000 1
Mg3 0.1736 0.3471 0.2541 1
Mg4 0.6667 0.3333 0.2479 1
```

Largest 10 diffraction maxima, low angle first, 2θ from 5° to 70°:
hkl 1 0 2, 22.66°, 3.925 Å, I = 3.6
hkl 2 0 0, 30.92°, 2.892 Å, I = 24.5
hkl 0 0 4, 33.54°, 2.672 Å, I = 25.7
hkl 2 0 2, 35.29°, 2.543 Å, I = 100.0
hkl 2 0 4, 46.26°, 1.962 Å, I = 15.1
hkl 2 2 0, 55.00°, 1.670 Å, I = 17.1
hkl 2 0 6, 61.10°, 1.517 Å, I = 18.4
hkl 4 0 0, 64.44°, 1.446 Å, I = 2.6
hkl 2 2 4, 65.98°, 1.416 Å, I = 19.0
hkl 4 0 2, 67.06°, 1.396 Å, I = 13.5

***

Entry 4:
For Rb11TlAu2, a crystal structure in Alexandria, relaxed with PBE gives the simulated powder X-ray diffraction pattern in this record (Cu Kα).

Cell and atoms:
```
data_Rb11TlAu2
_symmetry_space_group_name_H-M 'I b a m'
_symmetry_Int_Tables_number 72
_symmetry_space_group_name_Hall '-I 2 2c'
_cell_length_a 13.4358
_cell_length_b 16.9254
_cell_length_c 18.1887
_cell_angle_alpha 90.00
_cell_angle_beta 90.00
_cell_angle_gamma 90.00
loop_
_atom_site_label
_atom_site_fract_x
_atom_site_fract_y
_atom_site_fract_z
_atom_site_occupancy
Rb1 0.0000 0.0000 0.0000 1
Rb2 0.1079 0.3053 0.1534 1
Rb3 0.1268 0.2213 0.5000 1
Rb4 0.2204 0.4425 0.3716 1
Tl1 0.0000 0.5000 0.2500 1
Au1 0.1431 0.1770 0.0000 1
```

Largest 10 diffraction maxima, low angle first, 2θ from 5° to 70°:
hkl 1 1 2, 12.87°, 6.881 Å, I = 100.0
hkl 1 2 1, 13.29°, 6.663 Å, I = 34.6
hkl 0 2 2, 14.30°, 6.195 Å, I = 35.8
hkl 2 1 1, 15.00°, 5.906 Å, I = 36.0
hkl 2 2 4, 25.90°, 3.440 Å, I = 39.3
hkl 1 3 4, 26.03°, 3.424 Å, I = 30.8
hkl 1 4 3, 26.53°, 3.360 Å, I = 45.2
hkl 3 3 2, 27.25°, 3.273 Å, I = 48.4
hkl 4 2 0, 28.59°, 3.122 Å, I = 46.6
hkl 1 5 2, 28.91°, 3.088 Å, I = 34.3

***

Entry 5:
For LaHo2ErSb4, a crystal structure in Alexandria, relaxed with PBE gives the simulated powder X-ray diffraction pattern in this record (Cu Kα).

Cell and atoms:
```
data_LaHo2ErSb4
_symmetry_space_group_name_H-M 'I 4/m m m'
_symmetry_Int_Tables_number 139
_symmetry_space_group_name_Hall '-I 4 2'
_cell_length_a 6.2736
_cell_length_b 6.2736
_cell_length_c 12.5238
_cell_angle_alpha 90.00
_cell_angle_beta 90.00
_cell_angle_gamma 90.00
loop_
_atom_site_label
_atom_site_fract_x
_atom_site_fract_y
_atom_site_fract_z
_atom_site_occupancy
La1 0.0000 0.0000 0.0000 1
Ho1 0.0000 0.5000 0.2500 1
Er1 0.0000 0.0000 0.5000 1
Sb1 0.0000 0.0000 0.2557 1
Sb2 0.0000 0.5000 0.0000 1
```

Largest 10 diffraction maxima, low angle first, 2θ from 5° to 70°:
hkl 1 1 2, 24.59°, 3.620 Å, I = 3.1
hkl 2 0 0, 28.47°, 3.135 Å, I = 100.0
hkl 2 2 0, 40.70°, 2.217 Å, I = 76.3
hkl 1 1 6, 48.14°, 1.890 Å, I = 1.7
hkl 2 2 4, 50.42°, 1.810 Å, I = 27.2
hkl 4 0 0, 58.88°, 1.568 Å, I = 8.6
hkl 0 0 8, 59.00°, 1.565 Å, I = 4.2
hkl 3 1 6, 64.82°, 1.438 Å, I = 0.8
hkl 4 2 0, 66.69°, 1.403 Å, I = 23.4
hkl 2 0 8, 66.79°, 1.401 Å, I = 11.5

***

Entry 6:
For La5Sm6Th2, a crystal structure in Alexandria, relaxed with PBE gives the simulated powder X-ray diffraction pattern in this record (Cu Kα).

Cell and atoms:
```
data_La5Sm6Th2
_symmetry_space_group_name_H-M 'P b a m'
_symmetry_Int_Tables_number 55
_symmetry_space_group_name_Hall '-P 2 2ab'
_cell_length_a 11.7548
_cell_length_b 21.4195
_cell_length_c 3.6537
_cell_angle_alpha 90.00
_cell_angle_beta 90.00
_cell_angle_gamma 90.00
loop_
_atom_site_label
_atom_site_fract_x
_atom_site_fract_y
_atom_site_fract_z
_atom_site_occupancy
La1 0.0000 0.0000 0.0000 1
La2 0.0589 0.2951 0.0000 1
La3 0.1907 0.5827 0.0000 1
Sm1 0.0627 0.1494 0.5000 1
Sm2 0.0834 0.4389 0.5000 1
Sm3 0.1856 0.8755 0.0000 1
Th1 0.1933 0.7357 0.5000 1
```

Largest 10 diffraction maxima, low angle first, 2θ from 5° to 70°:
hkl 0 2 0, 8.26°, 10.710 Å, I = 31.9
hkl 1 3 1, 28.47°, 3.135 Å, I = 38.5
hkl 2 6 0, 29.27°, 3.051 Å, I = 28.8
hkl 1 7 0, 30.18°, 2.961 Å, I = 64.7
hkl 1 4 1, 30.58°, 2.923 Å, I = 44.2
hkl 4 1 0, 30.71°, 2.911 Å, I = 93.0
hkl 2 3 1, 31.44°, 2.846 Å, I = 100.0
hkl 2 4 1, 33.38°, 2.685 Å, I = 80.6
hkl 0 0 2, 49.94°, 1.826 Å, I = 49.1
hkl 4 1 2, 59.76°, 1.547 Å, I = 28.4

***

Entry 7:
For V5CrMo4, a crystal structure in Alexandria, relaxed with PBE gives the simulated powder X-ray diffraction pattern in this record (Cu Kα).

Cell and atoms:
```
data_V5CrMo4
_symmetry_space_group_name_H-M 'P 4/m m m'
_symmetry_Int_Tables_number 123
_symmetry_space_group_name_Hall '-P 4 2'
_cell_length_a 3.0464
_cell_length_b 3.0464
_cell_length_c 15.2086
_cell_angle_alpha 90.00
_cell_angle_beta 90.00
_cell_angle_gamma 90.00
loop_
_atom_site_label
_atom_site_fract_x
_atom_site_fract_y
_atom_site_fract_z
_atom_site_occupancy
V1 0.0000 0.0000 0.0000 1
V2 0.0000 0.0000 0.2033 1
V3 0.0000 0.0000 0.4063 1
Cr1 0.5000 0.5000 0.5000 1
Mo1 0.5000 0.5000 0.1017 1
Mo2 0.5000 0.5000 0.3048 1
```

Largest 10 diffraction maxima, low angle first, 2θ from 5° to 70°:
hkl 0 0 1, 5.81°, 15.209 Å, I = 3.4
hkl 0 0 2, 11.64°, 7.604 Å, I = 1.0
hkl 1 0 0, 29.33°, 3.045 Å, I = 10.6
hkl 1 0 3, 34.34°, 2.611 Å, I = 0.8
hkl 1 0 4, 37.84°, 2.377 Å, I = 1.5
hkl 1 1 0, 41.96°, 2.153 Å, I = 100.0
hkl 1 1 5, 52.02°, 1.758 Å, I = 2.9
hkl 2 0 0, 60.81°, 1.523 Å, I = 10.5
hkl 0 0 10, 60.91°, 1.521 Å, I = 4.9
hkl 2 1 0, 68.96°, 1.362 Å, I = 4.0

***

Entry 8:
For BiBH, a crystal structure in Alexandria, relaxed with PBE gives the simulated powder X-ray diffraction pattern in this record (Cu Kα).

Cell and atoms:
```
data_BiBH
_symmetry_space_group_name_H-M 'C 1 2 1'
_symmetry_Int_Tables_number 5
_symmetry_space_group_name_Hall 'C 2y'
_cell_length_a 7.3444
_cell_length_b 4.3378
_cell_length_c 6.9136
_cell_angle_alpha 90.00
_cell_angle_beta 92.83
_cell_angle_gamma 90.00
loop_
_atom_site_label
_atom_site_fract_x
_atom_site_fract_y
_atom_site_fract_z
_atom_site_occupancy
Bi1 0.1330 0.0000 0.2621 1
B1 0.0959 0.3874 0.5490 1
H1 0.2425 0.3305 0.1354 1
```

Largest 10 diffraction maxima, low angle first, 2θ from 5° to 70°:
hkl 1 1 0, 23.83°, 3.734 Å, I = 56.1
hkl 0 0 2, 25.80°, 3.453 Å, I = 51.1
hkl 2 0 -1, 26.90°, 3.314 Å, I = 100.0
hkl 1 1 1, 27.44°, 3.250 Å, I = 57.1
hkl 2 0 1, 28.11°, 3.175 Å, I = 45.0
hkl 1 1 -2, 34.95°, 2.567 Å, I = 34.3
hkl 3 1 0, 42.44°, 2.130 Å, I = 19.8
hkl 1 1 3, 46.89°, 1.938 Å, I = 18.0
hkl 4 0 0, 49.67°, 1.836 Å, I = 29.2
hkl 2 2 -1, 50.31°, 1.814 Å, I = 19.1

***

Entry 9:
For Ce2Al3Ru, a crystal structure in Alexandria, relaxed with PBE gives the simulated powder X-ray diffraction pattern in this record (Cu Kα).

Cell and atoms:
```
data_Ce2Al3Ru
_symmetry_space_group_name_H-M 'R -3 m'
_symmetry_Int_Tables_number 166
_symmetry_space_group_name_Hall '-R 3 2"'
_cell_length_a 5.4881
_cell_length_b 5.4881
_cell_length_c 13.4396
_cell_angle_alpha 90.00
_cell_angle_beta 90.00
_cell_angle_gamma 120.00
loop_
_atom_site_label
_atom_site_fract_x
_atom_site_fract_y
_atom_site_fract_z
_atom_site_occupancy
Ce1 0.0000 0.0000 0.1262 1
Al1 0.0000 0.5000 0.0000 1
Ru1 0.0000 0.0000 0.5000 1
```

Largest 10 diffraction maxima, low angle first, 2θ from 5° to 70°:
hkl 0 0 3, 19.82°, 4.480 Å, I = 31.2
hkl 0 1 2, 22.92°, 3.880 Å, I = 5.7
hkl 1 1 0, 32.63°, 2.744 Å, I = 74.3
hkl 1 1 3, 38.47°, 2.340 Å, I = 100.0
hkl 0 0 6, 40.26°, 2.240 Å, I = 11.3
hkl 2 0 5, 51.32°, 1.780 Å, I = 7.4
hkl 1 1 6, 52.75°, 1.735 Å, I = 3.0
hkl 3 0 0, 58.24°, 1.584 Å, I = 28.1
hkl 3 0 3, 62.15°, 1.494 Å, I = 32.1
hkl 2 2 0, 68.38°, 1.372 Å, I = 22.0

***

Entry 10:
For Nd3TmRu, a crystal structure in Alexandria, relaxed with PBE gives the simulated powder X-ray diffraction pattern in this record (Cu Kα).

Cell and atoms:
```
data_Nd3TmRu
_symmetry_space_group_name_H-M 'I m a 2'
_symmetry_Int_Tables_number 46
_symmetry_space_group_name_Hall 'I 2 -2a'
_cell_length_a 9.5007
_cell_length_b 7.5484
_cell_length_c 8.7368
_cell_angle_alpha 90.00
_cell_angle_beta 90.00
_cell_angle_gamma 90.00
loop_
_atom_site_label
_atom_site_fract_x
_atom_site_fract_y
_atom_site_fract_z
_atom_site_occupancy
Nd1 0.0399 0.2491 0.0000 1
Nd2 0.2500 0.5183 0.2489 1
Tm1 0.2500 0.5295 0.7512 1
Ru1 0.2500 0.7475 0.5000 1
```

Largest 10 diffraction maxima, low angle first, 2θ from 5° to 70°:
hkl 2 0 2, 27.74°, 3.215 Å, I = 61.3
hkl 2 2 0, 30.24°, 2.955 Å, I = 46.0
hkl 3 1 0, 30.61°, 2.920 Å, I = 27.2
hkl 0 2 2, 31.32°, 2.856 Å, I = 100.0
hkl 3 1 2, 37.02°, 2.428 Å, I = 18.7
hkl 4 0 0, 37.88°, 2.375 Å, I = 20.5
hkl 0 0 4, 41.34°, 2.184 Å, I = 24.5
hkl 4 2 2, 49.94°, 1.826 Å, I = 35.2
hkl 3 3 2, 50.84°, 1.796 Å, I = 20.7
hkl 2 2 4, 52.07°, 1.756 Å, I = 20.9

***

Entry 11:
For CaSnRh4, a crystal structure in Alexandria, relaxed with PBE gives the simulated powder X-ray diffraction pattern in this record (Cu Kα).

Cell and atoms:
```
data_CaSnRh4
_symmetry_space_group_name_H-M 'F -4 3 m'
_symmetry_Int_Tables_number 216
_symmetry_space_group_name_Hall 'F -4 2 3'
_cell_length_a 7.4860
_cell_length_b 7.4860
_cell_length_c 7.4860
_cell_angle_alpha 90.00
_cell_angle_beta 90.00
_cell_angle_gamma 90.00
loop_
_atom_site_label
_atom_site_fract_x
_atom_site_fract_y
_atom_site_fract_z
_atom_site_occupancy
Ca1 0.0000 0.0000 0.0000 1
Sn1 0.2500 0.2500 0.2500 1
Rh1 0.1245 0.1245 0.6245 1
```

Largest 10 diffraction maxima, low angle first, 2θ from 5° to 70°:
hkl 1 1 1, 20.55°, 4.322 Å, I = 21.4
hkl 2 0 0, 23.77°, 3.743 Å, I = 4.9
hkl 2 2 0, 33.87°, 2.647 Å, I = 19.2
hkl 3 1 1, 39.94°, 2.257 Å, I = 100.0
hkl 2 2 2, 41.80°, 2.161 Å, I = 49.0
hkl 4 0 0, 48.65°, 1.872 Å, I = 8.4
hkl 3 3 1, 53.34°, 1.717 Å, I = 4.7
hkl 4 2 0, 54.84°, 1.674 Å, I = 2.7
hkl 4 2 2, 60.60°, 1.528 Å, I = 7.1
hkl 3 3 3, 64.70°, 1.441 Å, I = 31.6

***

Entry 12:
For TlCd6In8, a crystal structure in Alexandria, relaxed with PBE gives the simulated powder X-ray diffraction pattern in this record (Cu Kα).

Cell and atoms:
```
data_TlCd6In8
_symmetry_space_group_name_H-M 'P -3'
_symmetry_Int_Tables_number 147
_symmetry_space_group_name_Hall '-P 3'
_cell_length_a 8.6908
_cell_length_b 8.6908
_cell_length_c 6.3085
_cell_angle_alpha 90.00
_cell_angle_beta 90.00
_cell_angle_gamma 120.00
loop_
_atom_site_label
_atom_site_fract_x
_atom_site_fract_y
_atom_site_fract_z
_atom_site_occupancy
Tl1 0.0000 0.0000 0.0000 1
Cd1 0.1137 0.6841 0.0967 1
In1 0.0141 0.3321 0.4043 1
In2 0.3333 0.6667 0.7084 1
```

Largest 10 diffraction maxima, low angle first, 2θ from 5° to 70°:
hkl 2 -1 1, 24.88°, 3.579 Å, I = 25.3
hkl 0 2 1, 27.60°, 3.232 Å, I = 42.0
hkl 0 1 2, 30.73°, 2.909 Å, I = 25.4
hkl 2 1 0, 31.45°, 2.845 Å, I = 28.5
hkl 2 1 1, 34.59°, 2.593 Å, I = 100.0
hkl 2 -1 2, 35.16°, 2.553 Å, I = 92.0
hkl 3 0 0, 35.79°, 2.509 Å, I = 65.5
hkl 3 -2 2, 42.81°, 2.113 Å, I = 21.3
hkl 5 -1 1, 58.03°, 1.589 Å, I = 30.9
hkl 1 1 4, 62.68°, 1.482 Å, I = 22.1

***

Entry 13:
For Ce4C2N, a crystal structure in Alexandria, relaxed with PBE gives the simulated powder X-ray diffraction pattern in this record (Cu Kα).

Cell and atoms:
```
data_Ce4C2N
_symmetry_space_group_name_H-M 'C m c m'
_symmetry_Int_Tables_number 63
_symmetry_space_group_name_Hall '-C 2c 2'
_cell_length_a 3.5542
_cell_length_b 11.9577
_cell_length_c 11.9619
_cell_angle_alpha 90.00
_cell_angle_beta 90.00
_cell_angle_gamma 90.00
loop_
_atom_site_label
_atom_site_fract_x
_atom_site_fract_y
_atom_site_fract_z
_atom_site_occupancy
Ce1 0.0000 0.0000 0.0000 1
Ce2 0.0000 0.2789 0.1267 1
Ce3 0.0000 0.4506 0.7500 1
C1 0.0000 0.3557 0.5600 1
N1 0.0000 0.0803 0.7500 1
```

Largest 10 diffraction maxima, low angle first, 2θ from 5° to 70°:
hkl 1 1 1, 27.22°, 3.277 Å, I = 24.2
hkl 0 4 0, 29.89°, 2.989 Å, I = 32.8
hkl 1 1 2, 30.19°, 2.960 Å, I = 59.6
hkl 0 4 1, 30.83°, 2.900 Å, I = 27.6
hkl 0 2 4, 33.51°, 2.675 Å, I = 100.0
hkl 1 3 1, 34.63°, 2.590 Å, I = 91.3
hkl 1 3 2, 37.07°, 2.425 Å, I = 29.6
hkl 2 0 0, 51.43°, 1.777 Å, I = 35.5
hkl 2 4 0, 60.63°, 1.527 Å, I = 24.0
hkl 2 2 4, 62.78°, 1.480 Å, I = 32.2